Entry 1:
For LaTa2NO5, a DFT-relaxed cell (PBE, the Materials Project) gives the simulated powder X-ray diffraction pattern in this record (Cu Kα X-rays).
Peak positions follow from Bragg's law for the DFT cell and can differ from measured ones.

Main lines, in order of falling intensity (10 to 90 degrees two-theta):
two_theta, I_rel
29.25, 100
28.55, 43
28.75, 42
32.38, 32
22.98, 26
55.95, 25

Structure:
a b c (Å): 5.5278 7.7414 11.3172
angles (deg): 89.97 89.60 89.96
Fractional coordinates of all 36 atoms:
La1 0.0000 0.0000 0.0000
La2 0.0929 0.5047 0.9180
La3 0.4953 0.5046 0.4286
La4 0.6004 0.9986 0.5048
Ta1 0.0091 0.7499 0.3228
Ta2 0.0118 0.2565 0.3223
Ta3 0.0863 0.2459 0.6064
Ta4 0.0991 0.7559 0.6102
Ta5 0.5057 0.2560 0.1067
Ta6 0.5075 0.7479 0.1055
Ta7 0.5854 0.2597 0.8197
Ta8 0.5854 0.7570 0.8133
N1 0.0964 0.5015 0.3157
N2 0.4228 0.8083 0.6711
N3 0.5031 0.5010 0.8230
N4 0.9985 0.0033 0.6079
O1 0.1826 0.1942 0.1742
O2 0.1828 0.8103 0.1742
O3 0.1951 0.5013 0.5833
O4 0.2782 0.2168 0.4394
O5 0.2784 0.7883 0.4368
O6 0.3197 0.2152 0.9425
O7 0.3216 0.7884 0.9426
O8 0.4023 0.5016 0.0871
O9 0.4192 0.1972 0.6747
O10 0.5938 0.0027 0.1069
O11 0.6758 0.6998 0.2498
O12 0.6774 0.3041 0.2496
O13 0.7037 0.0015 0.8471
O14 0.7771 0.2855 0.9897
O15 0.7832 0.7179 0.9948
O16 0.8194 0.2883 0.4856
O17 0.8210 0.7165 0.4820
O18 0.8985 0.0026 0.3381
O19 0.9209 0.3079 0.7539
O20 0.9226 0.6954 0.7552


Entry 2:
For BaVSe2S, a DFT-relaxed cell (PBE, the Materials Project) gives the simulated powder X-ray diffraction pattern in this record (Cu Kα X-rays).
Peak positions follow from Bragg's law for the DFT cell and can differ from measured ones.

Main lines, in order of falling intensity (10 to 90 degrees two-theta):
two_theta, I_rel
33.42, 100
33.18, 50
29.98, 30
42.74, 30
20.94, 22
52.49, 22

Structure:
a b c (Å): 5.9614 6.9739 6.9739
angles (deg): 59.45 90.00 90.00
Fractional coordinates of all 10 atoms:
Ba1 0.0000 0.0000 0.0000
Ba2 0.5000 0.3306 0.3306
V1 0.2453 0.6729 0.6729
V2 0.7547 0.6729 0.6729
Se1 0.0000 0.4953 0.4953
Se2 0.5000 0.3314 0.8358
Se3 0.5000 0.8350 0.8350
Se4 0.5000 0.8358 0.3314
S1 0.0000 0.5040 0.9795
S2 0.0000 0.9795 0.5040


Entry 3:
For Na3Pu, a DFT-relaxed cell (PBE, the Materials Project) gives the simulated powder X-ray diffraction pattern in this record (Cu Kα X-rays).
Peak positions follow from Bragg's law for the DFT cell and can differ from measured ones.

Main lines, in order of falling intensity (10 to 90 degrees two-theta):
two_theta, I_rel
30.15, 100
18.33, 100
35.51, 60
21.19, 54
53.55, 40
47.26, 28

Structure:
a b c (Å): 8.3841 8.3841 8.3841
angles (deg): 90.00 90.00 90.00
Fractional coordinates of all 16 atoms:
Na1 0.0000 0.0000 0.0000
Na2 0.0000 0.5000 0.5000
Na3 0.2500 0.2500 0.2500
Na4 0.2500 0.2500 0.7500
Na5 0.2500 0.7500 0.2500
Na6 0.2500 0.7500 0.7500
Na7 0.5000 0.0000 0.5000
Na8 0.5000 0.5000 0.0000
Na9 0.7500 0.2500 0.2500
Na10 0.7500 0.2500 0.7500
Na11 0.7500 0.7500 0.2500
Na12 0.7500 0.7500 0.7500
Pu1 0.0000 0.0000 0.5000
Pu2 0.0000 0.5000 0.0000
Pu3 0.5000 0.0000 0.0000
Pu4 0.5000 0.5000 0.5000